Record 1
Starting from a crystal structure in Alexandria, relaxed with GGA-PBE, the X-ray diffraction stick pattern of Pm5Sb5H2 was calculated for Cu Ka.

Structural model:
a b c (Å): 14.959 4.302 12.070
angles (deg): 90.00 121.07 90.00
Space group C2/m (No. 12)
Asymmetric unit:
Pm: 0.000 0.000 0.000 x2
Pm: 0.099 0.000 0.411 x4
Pm: 0.179 0.500 0.780 x4
Sb: 0.000 0.500 0.500 x2
Sb: 0.159 0.500 0.032 x4
Sb: 0.189 0.500 0.299 x4
H: 0.080 0.000 0.753 x4

Largest 10 diffraction maxima, sorted by position, 2θ = 5–70°:
| 2theta | I_rel | (hkl) |
| --- | --- | --- |
| 27.19 | 74 | 2 0 2 |
| 27.47 | 100 | 3 1 -1 |
| 28.15 | 61 | 3 1 -2 |
| 29.47 | 74 | 3 1 0 |
| 31.36 | 87 | 3 1 -3 |
| 38.03 | 80 | 1 1 -4 |
| 38.40 | 59 | 6 0 -4 |
| 40.99 | 41 | 5 1 0 |
| 42.00 | 54 | 0 2 0 |
| 58.21 | 35 | 6 2 -4 |

***

Record 2
Starting from a crystal structure in Alexandria, relaxed with GGA-PBE, the X-ray diffraction stick pattern of CaAg2F8 was calculated for Cu Ka.

Structural model:
a b c (Å): 5.646 5.646 10.718
angles (deg): 90.00 90.00 90.00
Space group I422 (No. 97)
Asymmetric unit:
Ca: 0.000 0.000 0.000 x2
Ag: 0.000 0.500 0.250 x4
F: 0.168 0.312 0.877 x16

Largest 10 diffraction maxima, sorted by position, 2θ = 5–70°:
| 2theta | I_rel | (hkl) |
| --- | --- | --- |
| 16.54 | 38 | 0 0 2 |
| 22.27 | 55 | 1 1 0 |
| 27.87 | 100 | 1 1 2 |
| 31.70 | 14 | 2 0 0 |
| 35.96 | 24 | 2 0 2 |
| 45.44 | 18 | 2 2 0 |
| 46.74 | 42 | 2 0 4 |
| 54.15 | 30 | 3 1 2 |
| 56.43 | 13 | 1 1 6 |
| 62.51 | 15 | 3 1 4 |

***

Record 3
Starting from a crystal structure in Alexandria, relaxed with GGA-PBE, the X-ray diffraction stick pattern of CuPd2S6 was calculated for Cu Ka.

Structural model:
a b c (Å): 4.652 6.495 6.573
angles (deg): 60.49 85.11 79.97
Space group P-1 (No. 2)
Asymmetric unit:
Cu: 0.000 0.000 0.000 x1
Pd: 0.500 0.337 0.326 x2
S: 0.182 0.007 0.400 x2
S: 0.182 0.407 0.600 x2
S: 0.249 0.676 0.000 x2

Largest 10 diffraction maxima, sorted by position, 2θ = 5–70°:
| 2theta | I_rel | (hkl) |
| --- | --- | --- |
| 23.17 | 95 | 1 1 0 |
| 24.90 | 27 | 1 0 1 |
| 26.99 | 39 | 1 -1 0 |
| 27.23 | 72 | 0 1 2 |
| 31.20 | 50 | 1 2 1 |
| 35.05 | 100 | 1 -1 1 |
| 37.05 | 30 | 1 0 -2 |
| 46.30 | 54 | 2 1 2 |
| 47.69 | 37 | 0 0 3 |
| 48.95 | 49 | 0 3 3 |

***

Record 4
Starting from a crystal structure in Alexandria, relaxed with GGA-PBE, the X-ray diffraction stick pattern of Nd2Ag2Au was calculated for Cu Ka.

Structural model:
a b c (Å): 10.830 4.156 11.974
angles (deg): 90.00 110.09 90.00
Space group C2/m (No. 12)
Asymmetric unit:
Nd: 0.002 0.000 0.336 x4
Nd: 0.184 0.000 0.111 x4
Ag: 0.038 0.500 0.894 x4
Ag: 0.149 0.500 0.542 x4
Au: 0.204 0.500 0.309 x4

Largest 10 diffraction maxima, sorted by position, 2θ = 5–70°:
| 2theta | I_rel | (hkl) |
| --- | --- | --- |
| 29.80 | 53 | 1 1 2 |
| 31.07 | 82 | 1 1 -3 |
| 32.88 | 23 | 3 1 -1 |
| 33.33 | 33 | 4 0 -2 |
| 36.16 | 26 | 3 1 -3 |
| 37.14 | 100 | 3 1 1 |
| 38.74 | 27 | 4 0 -4 |
| 40.09 | 29 | 0 0 5 |
| 43.56 | 42 | 0 2 0 |
| 64.32 | 28 | 7 1 -3 |